1.
# La2Pr2Ag
Calculated powder X-ray diffraction pattern, λ = 1.5418 Å (Cu Kα). Input: DFT lattice parameters and positions (GGA-PBE).
Lines closer than 0.1° are merged.

Structural model:
```
data_La2Pr2Ag
_space_group_name_H-M_alt 'I 4/m m m'
_space_group_IT_number 139
_space_group_name_Hall '-I 4 2'
_cell_length_a 3.7733
_cell_length_b 3.7733
_cell_length_c 23.3813
_cell_angle_alpha 90.00
_cell_angle_beta 90.00
_cell_angle_gamma 90.00
loop_
_atom_site_label
_atom_site_type_symbol
_atom_site_fract_x
_atom_site_fract_y
_atom_site_fract_z
La1 La 0.0000 0.0000 0.0835
Pr1 Pr 0.0000 0.0000 0.3038
Ag1 Ag 0.0000 0.0000 0.5000
```

Main lines, by intensity (15° ≤ 2θ ≤ 90°):
d 2.937, 2θ = 30.44°, I 100.0; d 2.668, 2θ = 33.59°, I 43.2; d 1.587, 2θ = 58.12°, I 34.6; d 1.887, 2θ = 48.24°, I 15.5; d 1.758, 2θ = 52.00°, I 15.3; d 2.338, 2θ = 38.50°, I 9.2; d 1.468, 2θ = 63.34°, I 8.4; d 1.214, 2θ = 78.81°, I 7.7; d 1.193, 2θ = 80.49°, I 6.8; d 1.624, 2θ = 56.70°, I 6.7; d 1.971, 2θ = 46.06°, I 6.3; d 3.396, 2θ = 26.24°, I 5.9

2.
# ErBe2H6
Calculated powder X-ray diffraction pattern, λ = 1.5418 Å (Cu Kα). Input: DFT lattice parameters and positions (GGA-PBE).
Lines closer than 0.1° are merged.

Structural model:
```
data_ErBe2H6
_space_group_name_H-M_alt 'F m -3 m'
_space_group_IT_number 225
_space_group_name_Hall '-F 4 2 3'
_cell_length_a 6.7726
_cell_length_b 6.7726
_cell_length_c 6.7726
_cell_angle_alpha 90.00
_cell_angle_beta 90.00
_cell_angle_gamma 90.00
loop_
_atom_site_label
_atom_site_type_symbol
_atom_site_fract_x
_atom_site_fract_y
_atom_site_fract_z
Er1 Er 0.0000 0.0000 0.0000
Be1 Be 0.2500 0.2500 0.2500
H1 H 0.0000 0.0000 0.2956
```

Main lines, by intensity (15° ≤ 2θ ≤ 90°):
d 3.910, 2θ = 22.74°, I 100.0; d 2.042, 2θ = 44.36°, I 54.4; d 2.394, 2θ = 37.56°, I 48.5; d 3.386, 2θ = 26.32°, I 48.4; d 1.554, 2θ = 59.49°, I 23.3; d 1.514, 2θ = 61.20°, I 18.3; d 1.382, 2θ = 67.79°, I 17.3; d 1.145, 2θ = 84.66°, I 17.0; d 1.303, 2θ = 72.52°, I 16.8; d 1.955, 2θ = 46.45°, I 12.7; d 1.693, 2θ = 54.17°, I 9.0; d 1.129, 2θ = 86.15°, I 8.9

3.
# In2GaAs3
Calculated powder X-ray diffraction pattern, λ = 1.5418 Å (Cu Kα). Input: DFT lattice parameters and positions (GGA-PBE).
Lines closer than 0.1° are merged.

Structural model:
```
data_In2GaAs3
_space_group_name_H-M_alt 'I -4 m 2'
_space_group_IT_number 119
_space_group_name_Hall 'I -4 -2'
_cell_length_a 4.2613
_cell_length_b 4.2613
_cell_length_c 18.2081
_cell_angle_alpha 90.00
_cell_angle_beta 90.00
_cell_angle_gamma 90.00
loop_
_atom_site_label
_atom_site_type_symbol
_atom_site_fract_x
_atom_site_fract_y
_atom_site_fract_z
In1 In 0.0000 0.0000 0.1629
Ga1 Ga 0.0000 0.0000 0.5000
As1 As 0.0000 0.5000 0.2500
As2 As 0.0000 0.5000 0.5752
```

Main lines, by intensity (15° ≤ 2θ ≤ 90°):
d 3.488, 2θ = 25.54°, I 100.0; d 2.138, 2θ = 42.27°, I 49.0; d 1.818, 2θ = 50.17°, I 31.5; d 2.131, 2θ = 42.42°, I 25.1; d 1.232, 2θ = 77.51°, I 15.8; d 1.828, 2θ = 49.90°, I 14.6; d 1.387, 2θ = 67.52°, I 11.5; d 1.507, 2θ = 61.55°, I 8.1; d 1.160, 2θ = 83.29°, I 7.6; d 1.383, 2θ = 67.74°, I 7.2; d 1.236, 2θ = 77.18°, I 7.2; d 1.517, 2θ = 61.07°, I 3.6

4.
# PuPaOs2
Calculated powder X-ray diffraction pattern, λ = 1.5418 Å (Cu Kα). Input: DFT lattice parameters and positions (GGA-PBE).
Lines closer than 0.1° are merged.

Structural model:
```
data_PuPaOs2
_space_group_name_H-M_alt 'P 1 21/c 1'
_space_group_IT_number 14
_cell_length_a 8.2599
_cell_length_b 5.4801
_cell_length_c 7.3642
_cell_angle_alpha 90.00
_cell_angle_beta 90.06
_cell_angle_gamma 90.00
loop_
_space_group_symop_operation_xyz
'x,y,z'
'-x,-y,-z'
'-x,y+1/2,-z+1/2'
'x,-y+1/2,z+1/2'
loop_
_atom_site_label
_atom_site_type_symbol
_atom_site_fract_x
_atom_site_fract_y
_atom_site_fract_z
Pu1 Pu 0.1205 0.1614 0.3335
Pa1 Pa 0.3736 0.6663 0.1692
Os1 Os 0.1264 0.6635 0.4366
Os2 Os 0.3768 0.1683 0.0701
```

Main lines, by intensity (15° ≤ 2θ ≤ 90°):
d 2.748, 2θ = 32.58°, I 100.0; d 2.181, 2θ = 41.40°, I 57.5; d 2.457, 2θ = 36.58°, I 56.9; d 2.568, 2θ = 34.94°, I 43.5; d 2.065, 2θ = 43.84°, I 34.3; d 1.745, 2θ = 52.43°, I 26.4; d 1.609, 2θ = 57.25°, I 23.8; d 1.333, 2θ = 70.67°, I 21.9; d 2.740, 2θ = 32.68°, I 17.5; d 1.940, 2θ = 46.82°, I 17.1; d 1.105, 2θ = 88.50°, I 14.5; d 1.150, 2θ = 84.16°, I 13.6

5.
# Ac2GaPt7
Calculated powder X-ray diffraction pattern, λ = 1.5418 Å (Cu Kα). Input: DFT lattice parameters and positions (GGA-PBE).
Lines closer than 0.1° are merged.

Structural model:
```
data_Ac2GaPt7
_space_group_name_H-M_alt 'P -4 m 2'
_space_group_IT_number 115
_cell_length_a 4.1887
_cell_length_b 4.1887
_cell_length_c 12.0191
_cell_angle_alpha 90.00
_cell_angle_beta 90.00
_cell_angle_gamma 90.00
loop_
_space_group_symop_operation_xyz
'x,y,z'
'y,-x,-z'
'-x,-y,z'
'-y,x,-z'
'-x,y,z'
'-y,-x,-z'
'x,-y,z'
'y,x,-z'
loop_
_atom_site_label
_atom_site_type_symbol
_atom_site_fract_x
_atom_site_fract_y
_atom_site_fract_z
Ac1 Ac 0.0000 0.5000 0.2311
Ga1 Ga 0.0000 0.0000 0.5000
Pt1 Pt 0.0000 0.0000 0.0000
Pt2 Pt 0.0000 0.5000 0.6344
Pt3 Pt 0.0000 0.5000 0.8495
Pt4 Pt 0.5000 0.5000 0.0000
Pt5 Pt 0.5000 0.5000 0.5000
```

Main lines, by intensity (15° ≤ 2θ ≤ 90°):
d 2.657, 2θ = 33.74°, I 100.0; d 2.094, 2θ = 43.20°, I 56.9; d 2.895, 2θ = 30.88°, I 46.5; d 2.085, 2θ = 43.40°, I 39.0; d 2.109, 2θ = 42.87°, I 29.4; d 1.478, 2θ = 62.90°, I 26.5; d 1.294, 2θ = 73.16°, I 22.0; d 1.697, 2θ = 54.04°, I 19.9; d 1.481, 2θ = 62.74°, I 19.1; d 2.962, 2θ = 30.17°, I 13.5; d 1.221, 2θ = 78.32°, I 10.9; d 1.212, 2θ = 79.00°, I 10.0

6.
# Zr4CO2
Calculated powder X-ray diffraction pattern, λ = 1.5418 Å (Cu Kα). Input: DFT lattice parameters and positions (GGA-PBE).
Lines closer than 0.1° are merged.

Structural model:
```
data_Zr4CO2
_space_group_name_H-M_alt 'F d d 2'
_space_group_IT_number 43
_space_group_name_Hall 'F 2 -2d'
_cell_length_a 10.8992
_cell_length_b 11.3629
_cell_length_c 6.5104
_cell_angle_alpha 90.00
_cell_angle_beta 90.00
_cell_angle_gamma 90.00
loop_
_atom_site_label
_atom_site_type_symbol
_atom_site_fract_x
_atom_site_fract_y
_atom_site_fract_z
Zr1 Zr 0.1197 0.0842 0.0000
Zr2 Zr 0.1232 0.0895 0.4946
C1 C 0.0000 0.0000 0.2506
O1 O 0.0095 0.2524 0.0011
```

Main lines, by intensity (15° ≤ 2θ ≤ 90°):
d 2.508, 2θ = 35.81°, I 100.0; d 2.519, 2θ = 35.64°, I 43.1; d 2.725, 2θ = 32.87°, I 31.2; d 1.528, 2θ = 60.61°, I 20.4; d 1.637, 2θ = 56.19°, I 19.7; d 1.961, 2θ = 46.30°, I 19.2; d 1.403, 2θ = 66.65°, I 15.7; d 1.966, 2θ = 46.16°, I 13.9; d 1.367, 2θ = 68.66°, I 11.9; d 2.824, 2θ = 31.68°, I 10.3; d 1.628, 2θ = 56.54°, I 9.9; d 2.841, 2θ = 31.49°, I 9.3

7.
# Pd5Pt3
Calculated powder X-ray diffraction pattern, λ = 1.5418 Å (Cu Kα). Input: DFT lattice parameters and positions (GGA-PBE).
Lines closer than 0.1° are merged.

Structural model:
```
data_Pd5Pt3
_space_group_name_H-M_alt 'R -3 m'
_space_group_IT_number 166
_space_group_name_Hall '-R 3 2"'
_cell_length_a 5.5860
_cell_length_b 5.5860
_cell_length_c 13.7177
_cell_angle_alpha 90.00
_cell_angle_beta 90.00
_cell_angle_gamma 120.00
loop_
_atom_site_label
_atom_site_type_symbol
_atom_site_fract_x
_atom_site_fract_y
_atom_site_fract_z
Pd1 Pd 0.0000 0.0000 0.0000
Pd2 Pd 0.0000 0.0000 0.5000
Pd3 Pd 0.0000 0.5000 0.0000
Pt1 Pt 0.0000 0.5000 0.5000
```

Main lines, by intensity (15° ≤ 2θ ≤ 90°):
d 2.282, 2θ = 39.48°, I 100.0; d 1.977, 2θ = 45.91°, I 48.8; d 1.192, 2θ = 80.63°, I 28.2; d 1.399, 2θ = 66.89°, I 15.8; d 1.397, 2θ = 67.01°, I 15.7; d 1.193, 2θ = 80.49°, I 9.4; d 4.570, 2θ = 19.42°, I 9.3; d 1.141, 2θ = 85.05°, I 8.3; d 2.383, 2θ = 37.76°, I 5.7; d 1.143, 2θ = 84.81°, I 2.8; d 1.815, 2θ = 50.28°, I 2.2; d 1.336, 2θ = 70.51°, I 1.7

8.
# Dy3Ga4Cu2
Calculated powder X-ray diffraction pattern, λ = 1.5418 Å (Cu Kα). Input: DFT lattice parameters and positions (GGA-PBE).
Lines closer than 0.1° are merged.

Structural model:
```
data_Dy3Ga4Cu2
_space_group_name_H-M_alt 'C 1 m 1'
_space_group_IT_number 8
_cell_length_a 10.4288
_cell_length_b 4.3895
_cell_length_c 15.9475
_cell_angle_alpha 90.00
_cell_angle_beta 105.86
_cell_angle_gamma 90.00
loop_
_space_group_symop_operation_xyz
'x,y,z'
'x,-y,z'
'x+1/2,y+1/2,z'
'x+1/2,-y+1/2,z'
loop_
_atom_site_label
_atom_site_type_symbol
_atom_site_fract_x
_atom_site_fract_y
_atom_site_fract_z
Dy1 Dy 0.0000 0.0000 0.0000
Dy2 Dy 0.0464 0.5000 0.5195
Dy3 Dy 0.1667 0.5000 0.3393
Dy4 Dy 0.2141 0.0000 0.8542
Dy5 Dy 0.3278 0.0000 0.6609
Dy6 Dy 0.3814 0.5000 0.1900
Ga1 Ga 0.0141 0.5000 0.8538
Ga2 Ga 0.0335 0.0000 0.6657
Ga3 Ga 0.0539 0.5000 0.1342
Ga4 Ga 0.1825 0.0000 0.1892
Ga5 Ga 0.2042 0.5000 0.9991
Ga6 Ga 0.3447 0.5000 0.5213
Ga7 Ga 0.3697 0.0000 0.3324
Ga8 Ga 0.3852 0.5000 0.7984
Cu1 Cu 0.1389 0.5000 0.7216
Cu2 Cu 0.2306 0.0000 0.4691
Cu3 Cu 0.3089 0.0000 0.0546
Cu4 Cu 0.4786 0.5000 0.3880
```

Main lines, by intensity (15° ≤ 2θ ≤ 90°):
d 2.603, 2θ = 34.46°, I 100.0; d 2.579, 2θ = 34.78°, I 65.2; d 2.174, 2θ = 41.54°, I 63.8; d 2.195, 2θ = 41.13°, I 42.2; d 2.557, 2θ = 35.10°, I 30.4; d 3.789, 2θ = 23.48°, I 26.6; d 2.660, 2θ = 33.69°, I 17.3; d 2.635, 2θ = 34.03°, I 17.0; d 1.665, 2θ = 55.15°, I 16.6; d 1.678, 2θ = 54.70°, I 14.7; d 1.330, 2θ = 70.86°, I 13.0; d 3.754, 2θ = 23.70°, I 10.8

9.
# La4Pr2HoTh
Calculated powder X-ray diffraction pattern, λ = 1.5418 Å (Cu Kα). Input: DFT lattice parameters and positions (GGA-PBE).
Lines closer than 0.1° are merged.

Structural model:
```
data_La4Pr2HoTh
_space_group_name_H-M_alt 'P m m m'
_space_group_IT_number 47
_cell_length_a 6.1726
_cell_length_b 6.1900
_cell_length_c 7.3608
_cell_angle_alpha 90.00
_cell_angle_beta 90.00
_cell_angle_gamma 90.00
loop_
_space_group_symop_operation_xyz
'x,y,z'
'-x,-y,-z'
'-x,-y,z'
'x,y,-z'
'x,-y,-z'
'-x,y,z'
'-x,y,-z'
'x,-y,z'
loop_
_atom_site_label
_atom_site_type_symbol
_atom_site_fract_x
_atom_site_fract_y
_atom_site_fract_z
La1 La 0.0000 0.0000 0.2331
La2 La 0.5000 0.5000 0.2352
Pr1 Pr 0.0000 0.5000 0.5000
Pr2 Pr 0.5000 0.0000 0.0000
Ho1 Ho 0.5000 0.0000 0.5000
Th1 Th 0.0000 0.5000 0.0000
```

Main lines, by intensity (15° ≤ 2θ ≤ 90°):
d 2.815, 2θ = 31.79°, I 100.0; d 3.091, 2θ = 28.89°, I 65.3; d 2.185, 2θ = 41.31°, I 24.9; d 1.728, 2θ = 53.00°, I 23.8; d 1.725, 2θ = 53.10°, I 23.6; d 1.581, 2θ = 58.36°, I 16.9; d 1.408, 2θ = 66.42°, I 11.5; d 1.355, 2θ = 69.37°, I 10.6; d 1.840, 2θ = 49.53°, I 6.9; d 1.153, 2θ = 83.94°, I 6.4; d 1.150, 2θ = 84.19°, I 6.4; d 1.181, 2θ = 81.49°, I 5.9

10.
# Cs2SrOsBr6
Calculated powder X-ray diffraction pattern, λ = 1.5418 Å (Cu Kα). Input: DFT lattice parameters and positions (GGA-PBE).
Lines closer than 0.1° are merged.

Structural model:
```
data_Cs2SrOsBr6
_space_group_name_H-M_alt 'F m -3 m'
_space_group_IT_number 225
_space_group_name_Hall '-F 4 2 3'
_cell_length_a 11.1333
_cell_length_b 11.1333
_cell_length_c 11.1333
_cell_angle_alpha 90.00
_cell_angle_beta 90.00
_cell_angle_gamma 90.00
loop_
_atom_site_label
_atom_site_type_symbol
_atom_site_fract_x
_atom_site_fract_y
_atom_site_fract_z
Cs1 Cs 0.2500 0.2500 0.2500
Sr1 Sr 0.0000 0.0000 0.0000
Os1 Os 0.0000 0.0000 0.5000
Br1 Br 0.0000 0.0000 0.2701
```

Main lines, by intensity (15° ≤ 2θ ≤ 90°):
d 2.783, 2θ = 32.16°, I 100.0; d 1.968, 2θ = 46.12°, I 69.2; d 3.936, 2θ = 22.59°, I 69.0; d 3.214, 2θ = 27.76°, I 42.1; d 2.273, 2θ = 39.66°, I 28.8; d 1.245, 2θ = 76.54°, I 27.7; d 1.607, 2θ = 57.34°, I 23.1; d 1.136, 2θ = 85.45°, I 20.4; d 1.488, 2θ = 62.42°, I 18.9; d 5.567, 2θ = 15.92°, I 18.6; d 1.760, 2θ = 51.94°, I 18.0; d 1.678, 2θ = 54.69°, I 14.7

11.
# Zr3Ti2In2
Calculated powder X-ray diffraction pattern, λ = 1.5418 Å (Cu Kα). Input: DFT lattice parameters and positions (GGA-PBE).
Lines closer than 0.1° are merged.

Structural model:
```
data_Zr3Ti2In2
_space_group_name_H-M_alt 'C m m m'
_space_group_IT_number 65
_space_group_name_Hall '-C 2 2'
_cell_length_a 4.9883
_cell_length_b 19.5987
_cell_length_c 2.9988
_cell_angle_alpha 90.00
_cell_angle_beta 90.00
_cell_angle_gamma 90.00
loop_
_atom_site_label
_atom_site_type_symbol
_atom_site_fract_x
_atom_site_fract_y
_atom_site_fract_z
Zr1 Zr 0.0000 0.0000 0.0000
Zr2 Zr 0.0000 0.2909 0.0000
Ti1 Ti 0.0000 0.4335 0.0000
In1 In 0.0000 0.1419 0.5000
```

Main lines, by intensity (15° ≤ 2θ ≤ 90°):
d 2.442, 2θ = 36.81°, I 100.0; d 2.392, 2θ = 37.61°, I 84.6; d 2.494, 2θ = 36.01°, I 54.5; d 2.558, 2θ = 35.08°, I 49.0; d 1.786, 2θ = 51.15°, I 32.5; d 1.278, 2θ = 74.22°, I 23.8; d 2.548, 2θ = 35.22°, I 22.2; d 1.430, 2θ = 65.26°, I 17.5; d 4.834, 2θ = 18.35°, I 16.9; d 1.419, 2θ = 65.79°, I 15.7; d 1.464, 2θ = 63.54°, I 15.3; d 1.371, 2θ = 68.45°, I 14.2

12.
# BaTlSb2Pb
Calculated powder X-ray diffraction pattern, λ = 1.5418 Å (Cu Kα). Input: DFT lattice parameters and positions (GGA-PBE).
Lines closer than 0.1° are merged.

Structural model:
```
data_BaTlSb2Pb
_space_group_name_H-M_alt 'C 1 2/m 1'
_space_group_IT_number 12
_cell_length_a 17.6516
_cell_length_b 5.3410
_cell_length_c 9.5539
_cell_angle_alpha 90.00
_cell_angle_beta 122.31
_cell_angle_gamma 90.00
loop_
_space_group_symop_operation_xyz
'x,y,z'
'-x,-y,-z'
'-x,y,-z'
'x,-y,z'
'x+1/2,y+1/2,z'
'-x+1/2,-y+1/2,-z'
'-x+1/2,y+1/2,-z'
'x+1/2,-y+1/2,z'
loop_
_atom_site_label
_atom_site_type_symbol
_atom_site_fract_x
_atom_site_fract_y
_atom_site_fract_z
Ba1 Ba 0.2488 0.0000 0.2387
Tl1 Tl 0.0726 0.0000 0.7359
Sb1 Sb 0.1203 0.5000 0.9504
Sb2 Sb 0.1339 0.0000 0.4734
Pb1 Pb 0.0839 0.5000 0.2507
```

Main lines, by intensity (15° ≤ 2θ ≤ 90°):
d 2.735, 2θ = 32.74°, I 100.0; d 2.918, 2θ = 30.64°, I 85.9; d 3.949, 2θ = 22.51°, I 54.9; d 2.671, 2θ = 33.56°, I 47.5; d 2.928, 2θ = 30.53°, I 43.3; d 1.973, 2θ = 46.00°, I 28.2; d 4.662, 2θ = 19.04°, I 24.2; d 4.037, 2θ = 22.02°, I 22.3; d 2.198, 2θ = 41.06°, I 20.9; d 1.554, 2θ = 59.48°, I 18.3; d 2.486, 2θ = 36.12°, I 16.1; d 1.585, 2θ = 58.20°, I 15.3

13.
# Y5Au
Calculated powder X-ray diffraction pattern, λ = 1.5418 Å (Cu Kα). Input: DFT lattice parameters and positions (GGA-PBE).
Lines closer than 0.1° are merged.

Structural model:
```
data_Y5Au
_space_group_name_H-M_alt 'P 4/m m m'
_space_group_IT_number 123
_space_group_name_Hall '-P 4 2'
_cell_length_a 3.5723
_cell_length_b 3.5723
_cell_length_c 13.9341
_cell_angle_alpha 90.00
_cell_angle_beta 90.00
_cell_angle_gamma 90.00
loop_
_atom_site_label
_atom_site_type_symbol
_atom_site_fract_x
_atom_site_fract_y
_atom_site_fract_z
Y1 Y 0.0000 0.0000 0.0000
Y2 Y 0.0000 0.0000 0.3694
Y3 Y 0.5000 0.5000 0.1809
Au1 Au 0.5000 0.5000 0.5000
```

Main lines, by intensity (15° ≤ 2θ ≤ 90°):
d 2.832, 2θ = 31.60°, I 100.0; d 2.526, 2θ = 35.54°, I 42.2; d 1.511, 2θ = 61.37°, I 29.1; d 1.786, 2θ = 51.14°, I 14.7; d 1.710, 2θ = 53.61°, I 14.1; d 2.494, 2θ = 36.01°, I 12.7; d 2.322, 2θ = 38.78°, I 9.1; d 2.197, 2θ = 41.08°, I 7.9; d 1.416, 2θ = 65.98°, I 7.5; d 1.130, 2θ = 86.07°, I 6.6; d 1.153, 2θ = 83.88°, I 6.0; d 1.564, 2θ = 59.05°, I 6.0

14.
# Ho5Pa3Sb8
Calculated powder X-ray diffraction pattern, λ = 1.5418 Å (Cu Kα). Input: DFT lattice parameters and positions (GGA-PBE).
Lines closer than 0.1° are merged.

Structural model:
```
data_Ho5Pa3Sb8
_space_group_name_H-M_alt 'R -3 m'
_space_group_IT_number 166
_space_group_name_Hall '-R 3 2"'
_cell_length_a 8.7268
_cell_length_b 8.7268
_cell_length_c 21.4611
_cell_angle_alpha 90.00
_cell_angle_beta 90.00
_cell_angle_gamma 120.00
loop_
_atom_site_label
_atom_site_type_symbol
_atom_site_fract_x
_atom_site_fract_y
_atom_site_fract_z
Ho1 Ho 0.0000 0.0000 0.0000
Ho2 Ho 0.0000 0.0000 0.5000
Ho3 Ho 0.0000 0.5000 0.0000
Pa1 Pa 0.0000 0.5000 0.5000
Sb1 Sb 0.0000 0.0000 0.2512
Sb2 Sb 0.0008 0.5004 0.2504
```

Main lines, by intensity (15° ≤ 2θ ≤ 90°):
d 3.089, 2θ = 28.90°, I 100.0; d 2.187, 2θ = 41.27°, I 38.4; d 2.182, 2θ = 41.39°, I 38.1; d 1.782, 2θ = 51.26°, I 20.5; d 1.260, 2θ = 75.42°, I 19.6; d 1.383, 2θ = 67.75°, I 17.7; d 1.380, 2θ = 67.91°, I 17.6; d 1.545, 2θ = 59.88°, I 12.8; d 3.567, 2θ = 24.96°, I 8.3; d 1.788, 2θ = 51.07°, I 6.9; d 1.264, 2θ = 75.16°, I 6.6; d 1.094, 2θ = 89.64°, I 4.4